The following is a simulated powder diffractogram of Pr4CuS3. It was derived from a DFT-relaxed cell (PBE, Alexandria), using Cu Kα (λ = 1.5418 Å).
Neutral-atom scattering factors, no anomalous dispersion.

Principal peaks in the range 2θ = 5–70°, by angle:
| 2θ/deg | I_rel | h k l |
| --- | --- | --- |
| 26.4 | 55 | 1 1 2 |
| 27.5 | 1 | 1 0 3 |
| 30.6 | 100 | 2 0 0 |
| 41.6 | 1 | 2 1 3 |
| 43.8 | 73 | 2 2 0 |
| 51.8 | 18 | 3 1 2 |
| 51.9 | 9 | 1 1 6 |
| 54.4 | 25 | 2 2 4 |
| 63.6 | 8 | 4 0 0 |
| 63.8 | 4 | 0 0 8 |

Crystal structure
Unit cell a=5.851 b=5.851 c=11.671 alpha=90.00 beta=90.00 gamma=90.00
Space group I4/mmm (No. 139)
Unique sites:
Pr (0.000, 0.000, 0.244) [4 per cell]
Pr (0.000, 0.500, 0.000) [4 per cell]
Cu (0.000, 0.000, 0.500) [2 per cell]
S (0.000, 0.000, 0.000) [2 per cell]
S (0.000, 0.500, 0.250) [4 per cell]



The following is a simulated powder diffractogram of Pr4CuSe2S. It was derived from a DFT-relaxed cell (PBE, Alexandria), using Cu Kα (λ = 1.5418 Å).
Neutral-atom scattering factors, no anomalous dispersion.

Principal peaks in the range 2θ = 5–70°, by angle:
| 2θ/deg | I_rel | h k l |
| --- | --- | --- |
| 25.9 | 38 | 1 1 2 |
| 29.9 | 100 | 2 0 0 |
| 30.1 | 49 | 0 0 4 |
| 42.7 | 37 | 2 2 0 |
| 42.9 | 73 | 2 0 4 |
| 50.6 | 13 | 3 1 2 |
| 51.0 | 6 | 1 1 6 |
| 53.2 | 39 | 2 2 4 |
| 62.0 | 12 | 4 0 0 |
| 62.6 | 6 | 0 0 8 |

Crystal structure
Unit cell a=5.984 b=5.984 c=11.869 alpha=90.00 beta=90.00 gamma=90.00
Space group I-4m2 (No. 119)
Unique sites:
Pr (0.000, 0.000, 0.245) [4 per cell]
Pr (0.000, 0.500, 0.000) [4 per cell]
Cu (0.000, 0.500, 0.750) [2 per cell]
Se (0.000, 0.000, 0.500) [2 per cell]
Se (0.000, 0.500, 0.250) [2 per cell]
S (0.000, 0.000, 0.000) [2 per cell]